The following is a computed X-ray diffraction stick pattern of Al4GaIr5. It was derived from a DFT-relaxed cell (GGA-PBE, OQMD), using Cu Kα (weighted mean of Kα1 and Kα2).
No peak broadening, texture or thermal motion is included.

Crystal structure
Cell: 2.998 2.998 15.387 Å, 90.00 90.00 90.00°
Fractional positions:
Al 0.000 0.000 0.099
Al 0.000 0.000 0.297
Al 0.000 0.000 0.703
Al 0.000 0.000 0.901
Ga 0.000 0.000 0.500
Ir 0.500 0.500 0.000
Ir 0.500 0.500 0.197
Ir 0.500 0.500 0.396
Ir 0.500 0.500 0.604
Ir 0.500 0.500 0.803

Most intense lines, 10° ≤ 2θ ≤ 90°, low angle first:
Position (°2θ)	I/Imax	h k l
29.02	30.6	0 0 5
29.80	58.0	1 0 0
42.08	100.0	1 0 5
42.65	48.6	1 1 0
52.41	24.7	1 1 5
61.90	16.3	2 0 0
76.50	17.0	1 1 10
77.69	33.6	2 1 5



The following is a computed X-ray diffraction stick pattern of AlGa2Ir. It was derived from a DFT-relaxed cell (GGA-PBE, OQMD), using Cu Kα (weighted mean of Kα1 and Kα2).
No peak broadening, texture or thermal motion is included.

Crystal structure
Cell: 6.278 6.278 6.278 Å, 90.00 90.00 90.00°
Fractional positions:
Al 0.000 0.000 0.000
Al 0.000 0.500 0.500
Al 0.500 0.000 0.500
Al 0.500 0.500 0.000
Ga 0.000 0.000 0.500
Ga 0.000 0.500 0.000
Ga 0.250 0.250 0.750
Ga 0.250 0.750 0.250
Ga 0.500 0.000 0.000
Ga 0.500 0.500 0.500
Ga 0.750 0.250 0.250
Ga 0.750 0.750 0.750
Ir 0.250 0.250 0.250
Ir 0.250 0.750 0.750
Ir 0.750 0.250 0.750
Ir 0.750 0.750 0.250

Most intense lines, 10° ≤ 2θ ≤ 90°, low angle first:
Position (°2θ)	I/Imax	h k l
24.56	28.7	1 1 1
28.43	25.5	2 0 0
40.65	100.0	2 2 0
48.07	14.9	3 1 1
58.84	16.7	4 0 0
66.62	9.6	4 2 0
73.97	33.8	4 2 2
88.00	11.0	4 4 0



The following is a computed X-ray diffraction stick pattern of ScAlGa4Ir. It was derived from a DFT-relaxed cell (GGA-PBE, OQMD), using Cu Kα (weighted mean of Kα1 and Kα2).
No peak broadening, texture or thermal motion is included.

Crystal structure
Cell: 4.269 4.269 6.691 Å, 90.00 90.00 90.00°
Fractional positions:
Sc 0.000 0.000 0.000
Al 0.500 0.500 0.000
Ga 0.000 0.500 0.292
Ga 0.000 0.500 0.708
Ga 0.500 0.000 0.292
Ga 0.500 0.000 0.708
Ir 0.000 0.000 0.500

Most intense lines, 10° ≤ 2θ ≤ 90°, low angle first:
Position (°2θ)	I/Imax	h k l
13.23	50.0	0 0 1
20.81	43.8	1 0 0
24.74	39.2	1 0 1
34.05	25.5	1 0 2
40.24	100.0	1 1 2
42.35	50.2	2 0 0
50.91	20.7	1 1 3
76.03	29.7	3 1 2



The following is a computed X-ray diffraction stick pattern of SrAl3GaIr. It was derived from a DFT-relaxed cell (GGA-PBE, OQMD), using Cu Kα (weighted mean of Kα1 and Kα2).
No peak broadening, texture or thermal motion is included.

Crystal structure
Cell: 7.858 4.148 7.290 Å, 90.00 90.00 90.00°
Fractional positions:
Sr 0.250 0.000 0.116
Sr 0.750 0.000 0.884
Al 0.000 0.000 0.500
Al 0.072 0.500 0.791
Al 0.428 0.500 0.791
Al 0.500 0.000 0.500
Al 0.572 0.500 0.209
Al 0.928 0.500 0.209
Ga 0.250 0.500 0.440
Ga 0.750 0.500 0.560
Ir 0.250 0.000 0.688
Ir 0.750 0.000 0.312

Most intense lines, 10° ≤ 2θ ≤ 90°, low angle first:
Position (°2θ)	I/Imax	h k l
16.59	47.2	1 0 1
21.42	32.1	0 1 0
22.63	76.7	2 0 0
27.21	33.2	1 1 1
31.36	36.1	2 1 0
34.69	100.0	1 1 2
40.14	46.0	2 1 2
43.64	30.7	0 2 0



The following is a computed X-ray diffraction stick pattern of SrAlGa3Ir. It was derived from a DFT-relaxed cell (GGA-PBE, OQMD), using Cu Kα (weighted mean of Kα1 and Kα2).
No peak broadening, texture or thermal motion is included.

Crystal structure
Cell: 7.917 4.118 7.309 Å, 90.00 90.00 90.00°
Fractional positions:
Sr 0.250 0.000 0.113
Sr 0.750 0.000 0.887
Al 0.000 0.000 0.500
Al 0.500 0.000 0.500
Ga 0.064 0.500 0.794
Ga 0.250 0.500 0.444
Ga 0.436 0.500 0.794
Ga 0.564 0.500 0.206
Ga 0.750 0.500 0.556
Ga 0.936 0.500 0.206
Ir 0.250 0.000 0.683
Ir 0.750 0.000 0.317

Most intense lines, 10° ≤ 2θ ≤ 90°, low angle first:
Position (°2θ)	I/Imax	h k l
16.51	68.1	1 0 1
22.46	39.1	2 0 0
26.87	23.3	1 0 2
31.34	54.1	2 1 0
34.72	100.0	1 1 2
40.09	57.1	2 1 2
42.53	45.4	3 1 1
43.98	37.9	0 2 0



The following is a computed X-ray diffraction stick pattern of Tb2AlGaIr4. It was derived from a DFT-relaxed cell (GGA-PBE, OQMD), using Cu Kα (weighted mean of Kα1 and Kα2).
No peak broadening, texture or thermal motion is included.

Crystal structure
Cell: 4.320 4.320 9.118 Å, 90.00 90.00 120.00°
Fractional positions:
Tb 0.333 0.667 0.251
Tb 0.667 0.333 0.749
Al 0.000 0.000 0.000
Ga 0.000 0.000 0.500
Ir 0.333 0.667 0.584
Ir 0.333 0.667 0.918
Ir 0.667 0.333 0.082
Ir 0.667 0.333 0.416

Most intense lines, 10° ≤ 2θ ≤ 90°, low angle first:
Position (°2θ)	I/Imax	h k l
23.78	36.7	1 0 0
38.15	100.0	0 1 3
41.82	61.6	1 1 0
57.88	30.1	2 0 3
66.40	9.3	1 0 6
73.92	29.4	1 2 3
76.36	10.6	3 0 0
76.67	14.6	1 1 6



The following is a computed X-ray diffraction stick pattern of TmAl4GaIr. It was derived from a DFT-relaxed cell (GGA-PBE, OQMD), using Cu Kα (weighted mean of Kα1 and Kα2).
No peak broadening, texture or thermal motion is included.

Crystal structure
Cell: 4.270 4.270 6.886 Å, 90.00 90.00 90.00°
Fractional positions:
Tm 0.000 0.000 0.000
Al 0.000 0.500 0.303
Al 0.000 0.500 0.697
Al 0.500 0.000 0.303
Al 0.500 0.000 0.697
Ga 0.500 0.500 0.000
Ir 0.000 0.000 0.500

Most intense lines, 10° ≤ 2θ ≤ 90°, low angle first:
Position (°2θ)	I/Imax	h k l
20.80	78.2	1 0 0
25.88	34.1	0 0 2
29.58	42.5	1 1 0
33.43	48.1	1 0 2
39.70	100.0	1 1 2
42.33	45.5	2 0 0
54.98	24.1	2 1 2
75.65	30.2	3 1 2



The following is a computed X-ray diffraction stick pattern of La2AlGaPd4. It was derived from a DFT-relaxed cell (GGA-PBE, OQMD), using Cu Kα (weighted mean of Kα1 and Kα2).
No peak broadening, texture or thermal motion is included.

Crystal structure
Cell: 4.462 4.462 9.727 Å, 90.00 90.00 120.00°
Fractional positions:
La 0.333 0.667 0.249
La 0.667 0.333 0.751
Al 0.000 0.000 0.500
Ga 0.000 0.000 0.000
Pd 0.333 0.667 0.567
Pd 0.333 0.667 0.932
Pd 0.667 0.333 0.068
Pd 0.667 0.333 0.433

Most intense lines, 10° ≤ 2θ ≤ 90°, low angle first:
Position (°2θ)	I/Imax	h k l
23.02	29.0	1 0 0
36.17	100.0	1 0 3
40.43	66.7	1 1 0
55.36	28.9	0 2 3
62.09	9.8	0 1 6
70.75	27.3	2 1 3
72.01	10.3	1 1 6
73.53	11.1	3 0 0